# 1
Structure and calculated powder diffractogram of Rb3YbCl6 (a DFT-relaxed cell (PBE, Alexandria); a wavelength of 1.5418 Å).

Structural model:
Unit cell a=25.8950 b=8.0549 c=12.9978 alpha=90.00 beta=99.76 gamma=90.00
Space group C2/c (No. 15)
One atom of each set of equivalent atoms:
Rb: 0.0534 0.2363 0.4397 [8 per cell]
Rb: 0.1539 0.3200 0.1473 [8 per cell]
Rb: 0.1632 0.1857 0.8046 [8 per cell]
Yb: 0.0000 0.2004 0.7500 [4 per cell]
Yb: 0.2500 0.2500 0.5000 [4 per cell]
Cl: 0.0563 0.2017 0.9388 [8 per cell]
Cl: 0.0607 0.4228 0.6789 [8 per cell]
Cl: 0.0617 0.0474 0.2050 [8 per cell]
Cl: 0.1698 0.4492 0.4244 [8 per cell]
Cl: 0.1777 0.0323 0.5337 [8 per cell]
Cl: 0.2502 0.1160 0.3116 [8 per cell]

Main lines, in order of falling intensity (2θ = 15–90°):
| Position (°2θ) | Rel. int. | (hkl) |
| --- | --- | --- |
| 23.31 | 100 | 1 1 -3 |
| 32.14 | 84 | 6 2 -2 |
| 22.68 | 79 | 5 1 1 |
| 15.91 | 33 | 3 1 -1 |
| 23.08 | 33 | 6 0 -2 |
| 22.07 | 32 | 0 2 0 |
| 33.37 | 31 | 4 0 4 |
| 30.55 | 31 | 6 2 -1 |
| 35.18 | 29 | 10 0 0 |
| 41.04 | 24 | 7 1 -5 |
| 47.67 | 23 | 2 2 -6 |
| 31.50 | 19 | 5 1 3 |


# 2
Structure and calculated powder diffractogram of Rb4ZnCl6 (a DFT-relaxed cell (PBE, Alexandria); a wavelength of 1.5418 Å).

Structural model:
Unit cell a=15.8653 b=8.1683 c=15.4349 alpha=90.00 beta=113.19 gamma=90.00
Space group Cc (No. 9)
One atom of each set of equivalent atoms:
Rb: 0.0000 0.1416 0.0000 [4 per cell]
Rb: 0.1481 0.3460 0.4766 [4 per cell]
Rb: 0.2692 0.2122 0.8300 [4 per cell]
Rb: 0.4331 0.1590 0.1780 [4 per cell]
Zn: 0.2121 0.2600 0.2334 [4 per cell]
Cl: 0.0633 0.3076 0.2109 [4 per cell]
Cl: 0.0979 0.3013 0.8784 [4 per cell]
Cl: 0.2210 0.0333 0.1460 [4 per cell]
Cl: 0.2822 0.4730 0.1914 [4 per cell]
Cl: 0.2936 0.1941 0.3900 [4 per cell]
Cl: 0.4636 0.2615 0.9957 [4 per cell]

Main lines, in order of falling intensity (2θ = 15–90°):
| Position (°2θ) | Rel. int. | (hkl) |
| --- | --- | --- |
| 20.66 | 100 | 2 0 2 |
| 24.49 | 69 | 1 1 3 |
| 22.64 | 57 | 4 0 -2 |
| 21.76 | 50 | 0 2 0 |
| 25.77 | 48 | 2 2 -2 |
| 20.02 | 43 | 3 1 -1 |
| 25.13 | 38 | 0 0 4 |
| 20.44 | 37 | 1 1 -3 |
| 36.25 | 36 | 1 1 5 |
| 28.28 | 32 | 2 2 -3 |
| 35.52 | 31 | 5 1 1 |
| 40.72 | 31 | 6 2 -2 |